Entry 1:
Simulated powder X-ray diffraction pattern of Ce3PaP4 for copper Kα, from DFT lattice parameters and positions (PBE).
Kinematic intensities with the Lorentz-polarization factor, no thermal factor.

Cell and atoms:
a = 5.7236 Å, b = 5.7236 Å, c = 5.7236 Å
α = 90.00°, β = 90.00°, γ = 90.00°
Space group Pm-3m (No. 221)
One atom of each set of equivalent atoms:
Ce (0.0000, 0.0000, 0.5000) (multiplicity 3)
Pa (0.5000, 0.5000, 0.5000) (multiplicity 1)
P (0.0000, 0.0000, 0.0000) (multiplicity 1)
P (0.0000, 0.5000, 0.5000) (multiplicity 3)

Largest 12 diffraction maxima, in order of rising 2θ, 10 to 90 degrees two-theta:
| 2θ (°) | I_rel | h k l |
| --- | --- | --- |
| 15.48 | 6 | 1 0 0 |
| 21.96 | 6 | 1 1 0 |
| 26.98 | 87 | 1 1 1 |
| 31.26 | 100 | 2 0 0 |
| 44.79 | 73 | 2 2 0 |
| 53.07 | 43 | 3 1 1 |
| 55.63 | 26 | 2 2 2 |
| 65.20 | 12 | 4 0 0 |
| 71.90 | 17 | 3 3 1 |
| 74.08 | 33 | 4 2 0 |
| 82.58 | 25 | 4 2 2 |
| 88.83 | 14 | 5 1 1 |

***

Entry 2:
Simulated powder X-ray diffraction pattern of DyHo2Rh4 for copper Kα, from DFT lattice parameters and positions (PBE).
Kinematic intensities with the Lorentz-polarization factor, no thermal factor.

Cell and atoms:
a = 4.6549 Å, b = 4.6549 Å, c = 6.6402 Å
α = 90.00°, β = 90.00°, γ = 90.00°
Space group P4/mmm (No. 123)
One atom of each set of equivalent atoms:
Dy (0.0000, 0.0000, 0.0000) (multiplicity 1)
Ho (0.0000, 0.0000, 0.5000) (multiplicity 1)
Ho (0.5000, 0.5000, 0.0000) (multiplicity 1)
Rh (0.0000, 0.5000, 0.2563) (multiplicity 4)

Largest 12 diffraction maxima, in order of rising 2θ, 10 to 90 degrees two-theta:
| 2θ (°) | I_rel | h k l |
| --- | --- | --- |
| 13.33 | 8 | 0 0 1 |
| 19.07 | 9 | 1 0 0 |
| 23.34 | 12 | 1 0 1 |
| 30.31 | 7 | 1 1 1 |
| 38.51 | 100 | 1 1 2 |
| 38.69 | 50 | 2 0 0 |
| 55.34 | 9 | 0 0 4 |
| 55.87 | 17 | 2 2 0 |
| 69.56 | 17 | 2 0 4 |
| 69.90 | 34 | 3 1 2 |
| 82.54 | 11 | 2 2 4 |
| 82.98 | 5 | 4 0 0 |

***

Entry 3:
Simulated powder X-ray diffraction pattern of RbTl2CuO2 for copper Kα, from DFT lattice parameters and positions (PBE).
Kinematic intensities with the Lorentz-polarization factor, no thermal factor.

Cell and atoms:
a = 6.7457 Å, b = 12.9547 Å, c = 3.6242 Å
α = 90.00°, β = 90.00°, γ = 90.00°
Space group Pnnm (No. 58)
One atom of each set of equivalent atoms:
Rb (0.0000, 0.0000, 0.0000) (multiplicity 2)
Tl (0.1155, 0.3001, 0.5000) (multiplicity 4)
Cu (0.0000, 0.5000, 0.0000) (multiplicity 2)
O (0.2120, 0.4135, 0.0000) (multiplicity 4)

Largest 12 diffraction maxima, in order of rising 2θ, 10 to 90 degrees two-theta:
| 2θ (°) | I_rel | h k l |
| --- | --- | --- |
| 13.67 | 22 | 0 2 0 |
| 18.99 | 37 | 1 2 0 |
| 24.48 | 38 | 1 3 0 |
| 27.32 | 64 | 2 1 0 |
| 28.80 | 42 | 1 1 1 |
| 31.23 | 100 | 1 2 1 |
| 32.25 | 26 | 0 3 1 |
| 39.04 | 17 | 2 2 1 |
| 42.91 | 26 | 0 5 1 |
| 46.24 | 32 | 2 4 1 |
| 48.14 | 20 | 3 1 1 |
| 56.63 | 17 | 2 6 1 |